1.
The following is a computed powder diffraction line list of Dy5TmBi2Os. It was derived from DFT lattice parameters and positions (PBE), using a wavelength of 1.5418 Å.
Peak positions follow from Bragg's law for the DFT cell and can differ from measured ones.

Top 12 peaks for 2θ from 10° to 90°, by intensity:
hkl 1 3 1, 2θ = 30.15°, rel. 100; hkl 1 2 2, 2θ = 32.69°, rel. 87; hkl 1 4 2, 2θ = 39.44°, rel. 65; hkl 0 6 0, 2θ = 37.62°, rel. 51; hkl 0 4 2, 2θ = 33.04°, rel. 51; hkl 1 7 3, 2θ = 60.32°, rel. 35; hkl 2 0 0, 2θ = 42.61°, rel. 30; hkl 2 6 0, 2θ = 58.13°, rel. 29; hkl 2 4 2, 2θ = 54.95°, rel. 24; hkl 2 3 5, 2θ = 75.47°, rel. 16; hkl 0 3 1, 2θ = 21.45°, rel. 15; hkl 1 2 4, 2θ = 50.67°, rel. 13

Structural model:
Unit cell a=4.243 b=14.333 c=8.292 alpha=90.00 beta=90.00 gamma=90.00
Space group Amm2 (No. 38)
Asymmetric unit:
Dy 0.000 0.000 0.000 x2
Dy 0.000 0.193 0.582 x4
Dy 0.500 0.116 0.272 x4
Tm 0.500 0.000 0.621 x2
Bi 0.500 0.166 0.888 x4
Os 0.000 0.000 0.391 x2

=====

2.
The following is a computed powder diffraction line list of Mg3WN4. It was derived from DFT lattice parameters and positions (PBE), using a wavelength of 1.5418 Å.
Peak positions follow from Bragg's law for the DFT cell and can differ from measured ones.

Top 12 peaks for 2θ from 10° to 90°, by intensity:
hkl 2 1 1, 2θ = 35.23°, rel. 100; hkl 1 0 1, 2θ = 21.45°, rel. 81; hkl 1 1 0, 2θ = 20.17°, rel. 72; hkl 0 1 1, 2θ = 22.79°, rel. 53; hkl 0 2 0, 2θ = 30.70°, rel. 49; hkl 2 0 0, 2θ = 26.45°, rel. 44; hkl 4 0 0, 2θ = 54.58°, rel. 38; hkl 0 0 2, 2θ = 34.11°, rel. 36; hkl 2 1 3, 2θ = 61.78°, rel. 31; hkl 4 0 2, 2θ = 65.95°, rel. 30; hkl 1 1 2, 2θ = 39.94°, rel. 23; hkl 0 2 2, 2θ = 46.54°, rel. 22

Structural model:
Unit cell a=6.731 b=5.820 c=5.258 alpha=90.00 beta=90.00 gamma=90.00
Space group Pmn2_1 (No. 31)
Asymmetric unit:
Mg 0.000 0.162 0.000 x2
Mg 0.248 0.331 0.499 x4
W 0.000 0.829 0.492 x2
N 0.000 0.138 0.600 x2
N 0.000 0.827 0.137 x2
N 0.233 0.676 0.600 x4

=====

3.
The following is a computed powder diffraction line list of ZrC4. It was derived from DFT lattice parameters and positions (PBE), using a wavelength of 1.5418 Å.
Peak positions follow from Bragg's law for the DFT cell and can differ from measured ones.

Top 12 peaks for 2θ from 10° to 90°, by intensity:
hkl 0 1 2, 2θ = 41.37°, rel. 100; hkl 0 0 3, 2θ = 20.45°, rel. 85; hkl 1 0 1, 2θ = 39.52°, rel. 80; hkl 1 0 4, 2θ = 48.21°, rel. 56; hkl 0 1 5, 2θ = 52.88°, rel. 46; hkl 0 0 2, 2θ = 13.59°, rel. 44; hkl 0 0 6, 2θ = 41.58°, rel. 39; hkl 1 0 3, 2θ = 44.32°, rel. 36; hkl 1 0 0, 2θ = 38.88°, rel. 26; hkl 1 1 6, 2θ = 85.23°, rel. 25; hkl 1 1 0, 2θ = 70.41°, rel. 25; hkl 1 0 7, 2θ = 64.19°, rel. 18

Structural model:
Unit cell a=2.6743 b=2.6743 c=13.0313 alpha=90.00 beta=90.00 gamma=120.00
Space group P-3m1 (No. 164)
Asymmetric unit:
Zr 0.3333 0.6667 0.1669 x2
C 0.0000 0.0000 0.3226 x2
C 0.3333 0.6667 0.5192 x2
C 0.3333 0.6667 0.6382 x2
C 0.3333 0.6667 0.9833 x2